(1)
For Pr3Ni2, DFT lattice parameters and positions (PBE) gives the theoretical PXRD pattern in this record (Cu Kα).
Kinematic intensities with the Lorentz-polarization factor, no thermal factor.

a = 6.301 Å, b = 6.301 Å, c = 6.301 Å
α = 144.14°, β = 117.10°, γ = 74.58°
Fractional coordinates of all 5 atoms:
1 Pr 0.000 0.000 0.000
2 Pr 0.313 0.813 0.500
3 Pr 0.687 0.187 0.500
4 Ni 0.313 0.500 0.813
5 Ni 0.687 0.500 0.187

Principal peaks in the range 15° ≤ 2θ ≤ 90°, in order of rising 2θ:
2θ/deg	I_rel
27.12	28
29.99	49
32.19	100
36.94	53
46.83	18
49.75	26
56.62	16
58.97	28
70.71	18
79.28	18


(2)
For NaSiHgH6, DFT lattice parameters and positions (PBE) gives the theoretical PXRD pattern in this record (Cu Kα).
Kinematic intensities with the Lorentz-polarization factor, no thermal factor.

a = 5.298 Å, b = 5.298 Å, c = 4.415 Å
α = 93.09°, β = 93.09°, γ = 122.46°
Fractional coordinates of all 9 atoms:
1 Na 0.000 0.000 0.000
2 Si 0.332 0.668 0.000
3 Hg 0.676 0.324 0.500
4 H 0.043 0.639 0.775
5 H 0.075 0.438 0.202
6 H 0.308 0.411 0.777
7 H 0.361 0.957 0.225
8 H 0.562 0.925 0.798
9 H 0.589 0.692 0.223

Principal peaks in the range 15° ≤ 2θ ≤ 90°, in order of rising 2θ:
2θ/deg	I_rel
19.11	57
19.96	100
20.24	33
27.10	88
27.98	80
29.98	68
33.93	60
35.42	26
38.76	26
44.15	38


(3)
For Nd3GaPb2, DFT lattice parameters and positions (PBE) gives the theoretical PXRD pattern in this record (Cu Kα).
Kinematic intensities with the Lorentz-polarization factor, no thermal factor.

a = 12.828 Å, b = 4.576 Å, c = 12.374 Å
α = 90.00°, β = 90.00°, γ = 90.00°
Fractional coordinates of all 24 atoms:
1 Nd 0.053 0.250 0.122
2 Nd 0.122 0.750 0.555
3 Nd 0.224 0.250 0.795
4 Nd 0.276 0.750 0.295
5 Nd 0.378 0.250 0.055
6 Nd 0.447 0.750 0.622
7 Nd 0.553 0.250 0.378
8 Nd 0.622 0.750 0.945
9 Nd 0.724 0.250 0.705
10 Nd 0.776 0.750 0.205
11 Nd 0.878 0.250 0.445
12 Nd 0.947 0.750 0.878
13 Ga 0.131 0.250 0.366
14 Ga 0.369 0.750 0.866
15 Ga 0.631 0.250 0.134
16 Ga 0.869 0.750 0.634
17 Pb 0.004 0.750 0.307
18 Pb 0.187 0.750 0.005
19 Pb 0.313 0.250 0.505
20 Pb 0.496 0.250 0.807
21 Pb 0.504 0.750 0.193
22 Pb 0.687 0.750 0.495
23 Pb 0.813 0.250 0.995
24 Pb 0.996 0.250 0.693

Principal peaks in the range 15° ≤ 2θ ≤ 90°, in order of rising 2θ:
2θ/deg	I_rel
27.96	67
29.15	70
29.99	36
31.42	36
32.10	100
34.93	63
35.73	45
37.80	35
39.38	66
42.19	42